This entry pairs a crystal structure of La8CePm5 with its computed powder XRD pattern. Radiation: Cu Kα, 1.54184 Å. Structure: a DFT-relaxed cell (PBE, Alexandria).

```
La8CePm5
1.0
-4.8833 4.8833 5.2286
4.8833 -4.8833 5.2286
4.8833 4.8833 -5.2286
La Ce Pm
8 1 5
Direct
0.0286 0.4283 0.2613
0.0444 0.1804 0.7274
0.1669 0.7673 0.7387
0.2327 0.9714 0.3996
0.4529 0.3170 0.2726
0.5717 0.8331 0.6004
0.6830 0.9556 0.1360
0.8196 0.5471 0.8640
0.7500 0.2500 0.5000
0.0000 0.0000 0.0000
0.3205 0.6275 0.0999
0.3725 0.4724 0.6929
0.5276 0.2206 0.9001
0.7794 0.6795 0.3071
```

Main lines, low angle first (15 to 90 degrees two-theta):
2θ/deg  I (rel.)
27.2  791
28.7  765
28.9  892
32.9  1000
33.7  425
34.2  462